Record 1
# LaSm15Er4
Simulated X-ray powder pattern, Cu Kα. Input: a GGA-PBE-relaxed structure.
No peak broadening, texture or thermal motion is included.

Most intense lines, 2θ from 10° to 90°, in order of rising 2θ:
2θ (°)  I/Imax
30.3  100
35.1  51
50.5  36
60.1  43
63.0  12
74.3  6
82.3  17
84.9  6
84.9  11

Crystal structure
Lattice parameters (Å, degrees): 5.109 5.109 25.528 90.00 90.00 90.00
Space group P4/mmm (No. 123)
Symmetry-distinct sites (fractional):
1 La 0.000 0.000 0.000 (multiplicity 1)
2 Sm 0.000 0.500 0.103 (multiplicity 4)
3 Sm 0.000 0.500 0.302 (multiplicity 4)
4 Sm 0.000 0.500 0.500 (multiplicity 2)
5 Sm 0.500 0.500 0.000 (multiplicity 1)
6 Sm 0.500 0.500 0.203 (multiplicity 2)
7 Sm 0.500 0.500 0.401 (multiplicity 2)
8 Er 0.000 0.000 0.202 (multiplicity 2)
9 Er 0.000 0.000 0.401 (multiplicity 2)

---

Record 2
# U2Sn3Se8
Simulated X-ray powder pattern, Cu Kα. Input: a GGA-PBE-relaxed structure.
No peak broadening, texture or thermal motion is included.

Most intense lines, 2θ from 10° to 90°, in order of rising 2θ:
2θ (°)  I/Imax
14.7  25
17.1  31
20.2  63
21.9  42
26.2  32
27.5  23
33.3  100
37.8  26
39.8  55
45.2  46

Crystal structure
Lattice parameters (Å, degrees): 15.460 7.685 7.063 90.00 110.04 90.00
Space group C2/m (No. 12)
Symmetry-distinct sites (fractional):
1 U 0.249 0.000 0.170 (multiplicity 4)
2 Sn 0.000 0.231 0.500 (multiplicity 4)
3 Sn 0.000 0.500 0.000 (multiplicity 2)
4 Se 0.115 0.500 0.440 (multiplicity 4)
5 Se 0.131 0.256 0.915 (multiplicity 8)
6 Se 0.139 0.000 0.380 (multiplicity 4)